(1)
# Sc4Ta3
Calculated X-ray diffraction stick pattern, Cu Kα X-rays. Input: a crystal structure in Alexandria, relaxed with GGA-PBE.
Intensities are scaled so that the largest is 1000.

The 10 most intense peaks (10 to 90 degrees two-theta), sorted by position:
2θ/deg, I (rel.)
15.57, 1000
18.40, 182
24.19, 191
31.43, 275
35.91, 289
36.66, 373
37.30, 615
40.64, 973
49.55, 274
62.27, 274

Cell and atoms:
```
Sc4Ta3
1.0
5.568 0.000 0.000
-2.784 4.822 0.000
0.000 0.000 5.692
Sc Ta
4 3
direct
0.000 0.000 0.248
0.000 0.000 0.752
0.333 0.667 0.500
0.667 0.333 0.500
0.000 0.500 0.000
0.500 0.000 0.000
0.500 0.500 0.000
```



(2)
# Al8Ge
Calculated X-ray diffraction stick pattern, Cu Kα X-rays. Input: a crystal structure in Alexandria, relaxed with GGA-PBE.
Intensities are scaled so that the largest is 1000.

The 10 most intense peaks (10 to 90 degrees two-theta), sorted by position:
2θ/deg, I (rel.)
14.34, 129
32.23, 94
38.41, 1000
43.98, 336
45.96, 148
63.95, 108
65.50, 202
77.13, 255
79.99, 113
82.28, 105

Cell and atoms:
```
Al8Ge
1.0
-4.368 4.368 1.975
4.368 -4.368 1.975
4.368 4.368 -1.975
Al Ge
8 1
direct
0.000 0.336 0.336
0.000 0.664 0.664
0.331 0.331 0.663
0.331 0.669 0.000
0.336 0.000 0.336
0.664 0.000 0.664
0.669 0.331 0.000
0.669 0.669 0.337
0.000 0.000 0.000
```



(3)
# UP4
Calculated X-ray diffraction stick pattern, Cu Kα X-rays. Input: a crystal structure in Alexandria, relaxed with GGA-PBE.
Intensities are scaled so that the largest is 1000.

The 10 most intense peaks (10 to 90 degrees two-theta), sorted by position:
2θ/deg, I (rel.)
14.76, 767
22.68, 424
24.40, 707
25.26, 473
27.74, 633
29.50, 1000
37.49, 363
40.41, 299
41.83, 254
46.60, 348

Cell and atoms:
```
UP4
1.0
6.068 0.000 0.000
0.000 4.121 0.000
-1.153 0.000 7.843
U P
2 8
direct
0.000 0.000 0.000
0.000 0.500 0.500
0.270 0.178 0.758
0.270 0.322 0.258
0.399 0.649 0.082
0.399 0.851 0.582
0.601 0.149 0.418
0.601 0.351 0.918
0.730 0.678 0.742
0.730 0.822 0.242
```



(4)
# Ac3ErSn12
Calculated X-ray diffraction stick pattern, Cu Kα X-rays. Input: a crystal structure in Alexandria, relaxed with GGA-PBE.
Intensities are scaled so that the largest is 1000.

The 10 most intense peaks (10 to 90 degrees two-theta), sorted by position:
2θ/deg, I (rel.)
31.86, 1000
36.82, 351
37.24, 153
53.05, 126
53.37, 222
63.23, 294
63.80, 115
66.60, 117
87.05, 66
87.56, 104

Cell and atoms:
```
Ac3ErSn12
1.0
4.883 0.000 0.000
0.000 4.883 0.000
0.000 0.000 19.315
Ac Er Sn
3 1 12
direct
0.000 0.000 0.000
0.000 0.000 0.257
0.000 0.000 0.743
0.000 0.000 0.500
0.000 0.500 0.129
0.000 0.500 0.385
0.000 0.500 0.615
0.000 0.500 0.871
0.500 0.000 0.129
0.500 0.000 0.385
0.500 0.000 0.615
0.500 0.000 0.871
0.500 0.500 0.000
0.500 0.500 0.258
0.500 0.500 0.500
0.500 0.500 0.742
```



(5)
# K2LiS2
Calculated X-ray diffraction stick pattern, Cu Kα X-rays. Input: a crystal structure in Alexandria, relaxed with GGA-PBE.
Intensities are scaled so that the largest is 1000.

The 10 most intense peaks (10 to 90 degrees two-theta), sorted by position:
2θ/deg, I (rel.)
17.00, 217
24.14, 98
33.16, 1000
38.21, 146
38.61, 183
52.66, 77
54.91, 92
55.45, 113
65.88, 109
71.79, 123

Cell and atoms:
```
K2LiS2
1.0
7.374 0.000 0.000
0.000 7.374 0.000
0.000 0.000 4.711
K Li S
4 2 4
direct
0.150 0.350 0.000
0.350 0.850 0.000
0.650 0.150 0.000
0.850 0.650 0.000
0.000 0.000 0.500
0.500 0.500 0.500
0.155 0.655 0.500
0.345 0.155 0.500
0.655 0.845 0.500
0.845 0.345 0.500
```



(6)
# URh2O6
Calculated X-ray diffraction stick pattern, Cu Kα X-rays. Input: a crystal structure in Alexandria, relaxed with GGA-PBE.
Intensities are scaled so that the largest is 1000.

The 10 most intense peaks (10 to 90 degrees two-theta), sorted by position:
2θ/deg, I (rel.)
19.78, 351
22.40, 845
27.73, 941
30.06, 494
34.61, 1000
36.24, 548
44.91, 248
46.49, 240
53.15, 905
62.03, 327

Cell and atoms:
```
URh2O6
1.0
8.977 0.000 0.000
-4.488 7.774 0.000
0.000 0.000 4.615
U Rh O
3 6 18
direct
0.000 0.000 0.000
0.333 0.667 0.505
0.667 0.333 0.495
0.000 0.328 0.500
0.000 0.661 0.000
0.328 0.000 0.500
0.339 0.339 0.000
0.661 0.000 0.000
0.672 0.672 0.500
0.109 0.549 0.755
0.110 0.885 0.751
0.115 0.225 0.751
0.217 0.775 0.256
0.225 0.115 0.249
0.225 0.442 0.256
0.440 0.891 0.755
0.442 0.225 0.744
0.451 0.560 0.755
0.549 0.109 0.245
0.558 0.783 0.256
0.560 0.451 0.245
0.775 0.217 0.744
0.775 0.890 0.751
0.783 0.558 0.744
0.885 0.110 0.249
0.890 0.775 0.249
0.891 0.440 0.245
```



(7)
# PmSi3Pd9
Calculated X-ray diffraction stick pattern, Cu Kα X-rays. Input: a crystal structure in Alexandria, relaxed with GGA-PBE.
Intensities are scaled so that the largest is 1000.

The 10 most intense peaks (10 to 90 degrees two-theta), sorted by position:
2θ/deg, I (rel.)
32.51, 216
33.71, 245
34.57, 402
35.91, 341
38.91, 1000
40.04, 325
40.52, 588
41.51, 284
43.65, 240
64.38, 198

Cell and atoms:
```
PmSi3Pd9
1.0
2.607 -6.548 0.000
2.607 6.548 0.000
-2.017 0.000 6.071
Pm Si Pd
1 3 9
direct
0.000 0.000 0.000
0.000 0.500 0.000
0.500 0.000 0.000
0.500 0.500 0.500
0.000 0.000 0.500
0.066 0.701 0.683
0.299 0.934 0.317
0.314 0.535 0.774
0.465 0.686 0.226
0.535 0.314 0.774
0.686 0.465 0.226
0.701 0.066 0.683
0.934 0.299 0.317
```



(8)
# Sn4HgBi3
Calculated X-ray diffraction stick pattern, Cu Kα X-rays. Input: a crystal structure in Alexandria, relaxed with GGA-PBE.
Intensities are scaled so that the largest is 1000.

The 10 most intense peaks (10 to 90 degrees two-theta), sorted by position:
2θ/deg, I (rel.)
28.61, 1000
28.90, 984
29.30, 626
29.79, 232
30.58, 339
31.46, 409
38.78, 318
39.15, 221
39.92, 282
42.27, 499

Cell and atoms:
```
Sn4HgBi3
1.0
9.847 0.000 0.000
0.000 10.557 0.000
-4.540 0.000 4.998
Sn Hg Bi
8 2 6
direct
0.096 0.000 0.358
0.186 0.622 0.091
0.314 0.122 0.909
0.404 0.500 0.642
0.596 0.500 0.358
0.686 0.122 0.091
0.814 0.622 0.909
0.904 0.000 0.642
0.000 0.245 0.000
0.500 0.745 0.000
0.000 0.752 0.500
0.190 0.399 0.799
0.310 0.899 0.201
0.500 0.252 0.500
0.690 0.899 0.799
0.810 0.399 0.201
```



(9)
# BaTm2AgS4
Calculated X-ray diffraction stick pattern, Cu Kα X-rays. Input: a crystal structure in Alexandria, relaxed with GGA-PBE.
Intensities are scaled so that the largest is 1000.

The 10 most intense peaks (10 to 90 degrees two-theta), sorted by position:
2θ/deg, I (rel.)
14.72, 200
23.50, 495
25.87, 206
26.26, 670
26.65, 436
30.40, 258
32.47, 1000
35.23, 220
42.48, 233
44.43, 273

Cell and atoms:
```
BaTm2AgS4
1.0
2.039 -6.690 0.000
2.039 6.690 0.000
0.000 0.000 13.774
Ba Tm Ag S
2 4 2 8
direct
0.127 0.873 0.750
0.873 0.127 0.250
0.376 0.624 0.557
0.376 0.624 0.943
0.624 0.376 0.057
0.624 0.376 0.443
0.149 0.851 0.250
0.851 0.149 0.750
0.000 0.000 0.000
0.000 0.000 0.500
0.264 0.736 0.105
0.264 0.736 0.395
0.454 0.546 0.750
0.546 0.454 0.250
0.736 0.264 0.605
0.736 0.264 0.895
```



(10)
# CaTi8Zn2O19
Calculated X-ray diffraction stick pattern, Cu Kα X-rays. Input: a crystal structure in Alexandria, relaxed with GGA-PBE.
Intensities are scaled so that the largest is 1000.

The 10 most intense peaks (10 to 90 degrees two-theta), sorted by position:
2θ/deg, I (rel.)
12.82, 527
25.81, 792
28.73, 831
30.40, 682
31.00, 860
32.17, 522
33.53, 515
35.95, 862
56.69, 629
64.13, 1000

Cell and atoms:
```
CaTi8Zn2O19
1.0
9.304 0.000 0.000
3.447 8.672 0.000
3.437 2.354 8.355
Ca Ti Zn O
2 16 4 38
direct
0.000 0.000 0.000
0.472 0.495 0.475
0.025 0.854 0.430
0.144 0.577 0.976
0.149 0.486 0.366
0.201 0.349 0.781
0.224 0.801 0.654
0.343 0.792 0.191
0.421 0.024 0.856
0.486 0.368 0.147
0.580 0.976 0.144
0.622 0.849 0.520
0.653 0.220 0.787
0.780 0.192 0.351
0.793 0.650 0.225
0.844 0.515 0.640
0.857 0.422 0.031
0.982 0.137 0.582
0.187 0.194 0.195
0.366 0.155 0.491
0.511 0.634 0.851
0.806 0.810 0.814
0.011 0.113 0.370
0.013 0.641 0.489
0.038 0.580 0.206
0.106 0.365 0.018
0.121 0.873 0.211
0.134 0.792 0.877
0.193 0.036 0.588
0.204 0.129 0.866
0.213 0.568 0.748
0.253 0.782 0.439
0.257 0.367 0.563
0.281 0.296 0.288
0.340 0.564 0.268
0.351 0.504 0.000
0.361 0.015 0.121
0.412 0.808 0.970
0.429 0.262 0.788
0.441 0.746 0.641
0.496 0.004 0.651
0.521 0.981 0.357
0.561 0.277 0.342
0.565 0.738 0.222
0.577 0.200 0.047
0.633 0.989 0.892
0.641 0.483 0.028
0.663 0.435 0.735
0.722 0.714 0.707
0.735 0.214 0.571
0.740 0.658 0.443
0.788 0.432 0.263
0.794 0.872 0.131
0.797 0.962 0.424
0.869 0.204 0.131
0.872 0.131 0.795
0.884 0.636 0.992
0.954 0.424 0.804
0.982 0.890 0.639
0.986 0.361 0.516
```



(11)
# YHo2Hg3
Calculated X-ray diffraction stick pattern, Cu Kα X-rays. Input: a crystal structure in Alexandria, relaxed with GGA-PBE.
Intensities are scaled so that the largest is 1000.

The 10 most intense peaks (10 to 90 degrees two-theta), sorted by position:
2θ/deg, I (rel.)
23.92, 25
34.14, 1000
48.97, 122
49.21, 60
61.06, 253
61.22, 125
71.77, 39
71.96, 78
81.92, 112
82.30, 55

Cell and atoms:
```
YHo2Hg3
1.0
3.720 0.000 0.000
0.000 3.720 0.000
0.000 0.000 11.110
Y Ho Hg
1 2 3
direct
0.000 0.000 0.000
0.000 0.000 0.334
0.000 0.000 0.666
0.500 0.500 0.169
0.500 0.500 0.500
0.500 0.500 0.831
```



(12)
# YBi2
Calculated X-ray diffraction stick pattern, Cu Kα X-rays. Input: a crystal structure in Alexandria, relaxed with GGA-PBE.
Intensities are scaled so that the largest is 1000.

The 10 most intense peaks (10 to 90 degrees two-theta), sorted by position:
2θ/deg, I (rel.)
27.09, 521
28.72, 590
30.78, 1000
31.89, 247
32.21, 275
33.67, 202
34.23, 624
38.21, 309
41.77, 311
47.79, 283

Cell and atoms:
```
YBi2
1.0
7.840 0.000 0.000
0.000 4.325 0.000
0.000 0.000 10.881
Y Bi
4 8
direct
0.219 0.250 0.150
0.281 0.750 0.650
0.719 0.250 0.350
0.781 0.750 0.850
0.089 0.250 0.825
0.134 0.250 0.446
0.366 0.750 0.946
0.411 0.750 0.325
0.589 0.250 0.675
0.634 0.250 0.054
0.866 0.750 0.554
0.911 0.750 0.175
```